For Tb2Dy8Tl, the PBE geometry in Alexandria gives the computed X-ray powder pattern in this record (Cu Kα (λ = 1.5418 Å)).

Crystal structure
```
Tb2Dy8Tl
1.0
-2.7080 3.7682 8.5973
2.7080 -3.7682 8.5973
2.7080 3.7682 -8.5973
Tb Dy Tl
2 8 1
Cartesian
0.0000 0.0000 3.3219
0.0000 0.0000 13.8727
2.7080 1.7399 -2.3652
0.0000 1.7989 0.0000
2.7080 0.0000 5.4733
2.7080 1.7399 2.3652
0.0000 2.0283 6.2321
0.0000 3.7682 3.1240
0.0000 5.7375 0.0000
0.0000 2.0283 10.9625
0.0000 0.0000 8.5973
```

The 10 most intense peaks (15 to 90 degrees two-theta), in order of rising 2θ:
2theta	d_spacing	I/Imax
30.80	2.903	20
31.21	2.866	17
32.90	2.722	100
33.08	2.708	30
46.12	1.968	12
48.31	1.884	9
48.78	1.867	9
58.98	1.566	21
59.80	1.547	10
60.21	1.537	10